# ZnW2O4
Calculated powder diffractogram, λ = 1.5418 Å (Cu Kα). Input: a structure optimized by DFT (GGA+U).

abc: 6.2844 6.2844 6.2844
angles: 62.48 62.48 62.48
Element x y z (fractional)
Zn 0.0000 0.0000 0.0000
Zn 0.3745 0.3745 0.3745
W 0.4923 0.9926 0.9926
W 0.5888 0.5888 0.5888
W 0.9926 0.4923 0.9926
W 0.9926 0.9926 0.4923
O 0.2192 0.7563 0.7563
O 0.2367 0.2367 0.2367
O 0.2372 0.2372 0.7692
O 0.2372 0.7692 0.2372
O 0.7551 0.7551 0.7551
O 0.7563 0.2192 0.7563
O 0.7563 0.7563 0.2192
O 0.7692 0.2372 0.2372

Principal peaks in the range 2θ = 10–80°, low angle first:
Position (°2θ)  intensity
17.6  54
28.4  35
32.3  100
32.7  53
33.7  48
33.9  61
39.9  38
52.5  30
56.5  43
58.9  26


# ZnW2O4
Calculated powder diffractogram, λ = 1.5418 Å (Cu Kα). Input: a structure optimized by DFT (GGA+U).

abc: 6.4515 6.4515 15.5163
angles: 91.20 91.20 59.27
Element x y z (fractional)
Zn 0.0000 0.0000 0.0000
Zn 0.9997 0.9997 0.2441
Zn 0.3244 0.3244 0.5816
Zn 0.6605 0.6605 0.6656
Zn 0.6629 0.6629 0.2854
Zn 0.6654 0.6654 0.9141
W 0.1627 0.1627 0.7899
W 0.1637 0.6620 0.7903
W 0.3243 0.8243 0.4559
W 0.3299 0.3299 0.3332
W 0.3325 0.3325 0.9573
W 0.5039 0.9983 0.1249
W 0.5048 0.5048 0.1233
W 0.6620 0.1637 0.7903
W 0.8235 0.8235 0.4548
W 0.8243 0.3243 0.4559
W 0.9916 0.9916 0.6230
W 0.9983 0.5039 0.1249
O 0.9996 0.9996 0.8658
O 0.0173 0.4901 0.8701
O 0.1458 0.1458 0.5390
O 0.1504 0.6767 0.5357
O 0.1742 0.6474 0.0437
O 0.1786 0.1786 0.0416
O 0.3071 0.8359 0.7093
O 0.3262 0.3262 0.7141
O 0.3443 0.3443 0.1976
O 0.3511 0.8315 0.2030
O 0.4861 0.9795 0.3812
O 0.4878 0.4878 0.8721
O 0.4901 0.0173 0.8701
O 0.5142 0.5142 0.3672
O 0.6474 0.1742 0.0437
O 0.6612 0.6612 0.5317
O 0.6671 0.6671 0.0478
O 0.6767 0.1504 0.5357
O 0.8216 0.8216 0.2089
O 0.8315 0.3511 0.2030
O 0.8359 0.3071 0.7093
O 0.8376 0.8376 0.7080
O 0.9795 0.4861 0.3812
O 0.9886 0.9886 0.3801

Principal peaks in the range 2θ = 10–80°, low angle first:
Position (°2θ)  intensity
16.9  78
17.1  47
32.4  48
32.9  67
33.0  95
33.3  50
34.2  100
40.2  55
57.1  45
57.7  45


# Zr9W4O3
Calculated powder diffractogram, λ = 1.5418 Å (Cu Kα). Input: a structure optimized by DFT (GGA+U).

abc: 8.7762 8.7762 8.6013
angles: 90.00 90.00 120.00
Element x y z (fractional)
Zr 0.0934 0.5467 0.2500
Zr 0.2057 0.4114 0.5634
Zr 0.2057 0.4114 0.9366
Zr 0.2057 0.7943 0.5634
Zr 0.2057 0.7943 0.9366
Zr 0.4114 0.2057 0.0634
Zr 0.4114 0.2057 0.4366
Zr 0.4533 0.5467 0.2500
Zr 0.4533 0.9066 0.2500
Zr 0.5467 0.0934 0.7500
Zr 0.5467 0.4533 0.7500
Zr 0.5886 0.7943 0.5634
Zr 0.5886 0.7943 0.9366
Zr 0.7943 0.2057 0.0634
Zr 0.7943 0.2057 0.4366
Zr 0.7943 0.5886 0.0634
Zr 0.7943 0.5886 0.4366
Zr 0.9066 0.4533 0.7500
W 0.0000 0.0000 0.0000
W 0.0000 0.0000 0.5000
W 0.1093 0.2186 0.2500
W 0.1093 0.8907 0.2500
W 0.2186 0.1093 0.7500
W 0.7814 0.8907 0.2500
W 0.8907 0.1093 0.7500
W 0.8907 0.7814 0.7500
O 0.0000 0.5000 0.0000
O 0.0000 0.5000 0.5000
O 0.5000 0.0000 0.0000
O 0.5000 0.0000 0.5000
O 0.5000 0.5000 0.0000
O 0.5000 0.5000 0.5000

Principal peaks in the range 2θ = 10–80°, low angle first:
Position (°2θ)  intensity
11.6  96
33.4  26
35.4  18
37.0  95
37.7  100
39.4  39
62.3  19
63.6  24
65.1  21
65.6  28


# ZrW2O11
Calculated powder diffractogram, λ = 1.5418 Å (Cu Kα). Input: a structure optimized by DFT (GGA+U).

abc: 10.3975 10.3975 10.3975
angles: 111.85 111.85 104.81
Element x y z (fractional)
Zr 0.0000 0.0000 0.0000
Zr 0.2500 0.7500 0.5000
Zr 0.5000 0.5000 0.0000
Zr 0.7500 0.2500 0.5000
W 0.0064 0.3049 0.3669
W 0.0549 0.1881 0.7986
W 0.3895 0.2564 0.2014
W 0.4381 0.8049 0.2986
W 0.5064 0.1395 0.7014
W 0.5549 0.7564 0.8669
W 0.8895 0.6881 0.1331
W 0.9381 0.6395 0.6331
O 0.0036 0.1845 0.1799
O 0.0046 0.8237 0.8201
O 0.0266 0.3336 0.9933
O 0.0505 0.0342 0.6458
O 0.0737 0.7546 0.3201
O 0.0836 0.5903 0.8070
O 0.1096 0.5079 0.3978
O 0.1101 0.7118 0.6022
O 0.1547 0.3005 0.5163
O 0.1758 0.1758 0.0000
O 0.2435 0.0772 0.1804
O 0.2579 0.3601 0.8982
O 0.2833 0.0903 0.5067
O 0.2842 0.8005 0.1458
O 0.3131 0.6468 0.3196
O 0.3272 0.9935 0.6804
O 0.3403 0.0333 0.0067
O 0.3884 0.4047 0.3542
O 0.3968 0.5772 0.8337
O 0.4258 0.9258 0.5000
O 0.4345 0.7536 0.6799
O 0.4618 0.3596 0.1018
O 0.5036 0.3237 0.8191
O 0.5046 0.6845 0.1809
O 0.5266 0.5333 0.6930
O 0.5505 0.9047 0.0163
O 0.5737 0.2536 0.3191
O 0.5836 0.7766 0.4933
O 0.6101 0.0079 0.3982
O 0.6096 0.2118 0.6018
O 0.6547 0.1384 0.8542
O 0.6758 0.6758 0.0000
O 0.7435 0.5631 0.1663
O 0.7579 0.8596 0.8978
O 0.7833 0.2766 0.1930
O 0.7842 0.6384 0.4837
O 0.8131 0.4935 0.6663
O 0.8272 0.1468 0.3337
O 0.8403 0.8336 0.3070
O 0.8884 0.5342 0.9837
O 0.8968 0.0631 0.8196
O 0.9258 0.4258 0.5000
O 0.9345 0.2546 0.6809
O 0.9618 0.8601 0.1022

Principal peaks in the range 2θ = 10–80°, low angle first:
Position (°2θ)  intensity
15.2  50
17.6  21
18.4  18
20.7  100
24.2  69
28.0  53
28.1  35
33.9  19
35.6  24
37.4  24


# ZrW2O8
Calculated powder diffractogram, λ = 1.5418 Å (Cu Kα). Input: a structure optimized by DFT (GGA+U).

abc: 9.3644 9.3644 9.3644
angles: 90.00 90.00 90.00
Element x y z (fractional)
Zr 0.0016 0.0016 0.0016
Zr 0.4984 0.9984 0.5016
Zr 0.5016 0.4984 0.9984
Zr 0.9984 0.5016 0.4984
W 0.0991 0.9009 0.4009
W 0.1549 0.6549 0.8451
W 0.3451 0.3451 0.3451
W 0.4009 0.0991 0.9009
W 0.5991 0.5991 0.5991
W 0.6549 0.8451 0.1549
W 0.8451 0.1549 0.6549
W 0.9009 0.4009 0.0991
O 0.0107 0.5107 0.9893
O 0.0530 0.7951 0.9413
O 0.0546 0.7140 0.4326
O 0.0587 0.5530 0.7049
O 0.0674 0.9454 0.2140
O 0.2049 0.4413 0.4470
O 0.2140 0.0674 0.9454
O 0.2371 0.2371 0.2371
O 0.2629 0.7629 0.7371
O 0.2860 0.9326 0.4454
O 0.2951 0.5587 0.9470
O 0.4326 0.0546 0.7140
O 0.4413 0.4470 0.2049
O 0.4454 0.2860 0.9326
O 0.4470 0.2049 0.4413
O 0.4893 0.4893 0.4893
O 0.5107 0.9893 0.0107
O 0.5530 0.7049 0.0587
O 0.5546 0.7860 0.5674
O 0.5587 0.9470 0.2951
O 0.5674 0.5546 0.7860
O 0.7049 0.0587 0.5530
O 0.7140 0.4326 0.0546
O 0.7371 0.2629 0.7629
O 0.7629 0.7371 0.2629
O 0.7860 0.5674 0.5546
O 0.7951 0.9413 0.0530
O 0.9326 0.4454 0.2860
O 0.9413 0.0530 0.7951
O 0.9454 0.2140 0.0674
O 0.9470 0.2951 0.5587
O 0.9893 0.0107 0.5107

Principal peaks in the range 2θ = 10–80°, low angle first:
Position (°2θ)  intensity
21.2  100
23.3  78
26.9  17
31.7  28
34.5  21
35.9  33
44.3  17
47.6  18
50.7  24
52.6  16